Simulated PXRD pattern of Mg8Fe3N8 for Cu Kα (λ = 1.5418 Å), from DFT lattice parameters and positions (PBE).
Lines closer than 0.1° are merged.

Atomic structure:
Cell lengths 8.606, 8.606, 6.567 Å; angles 105.02, 105.02, 29.34 degrees
Sites, in units of the cell vectors:
Mg 0.028 0.028 0.242
Mg 0.195 0.195 0.808
Mg 0.342 0.342 0.528
Mg 0.411 0.411 0.031
Mg 0.589 0.589 0.969
Mg 0.658 0.658 0.472
Mg 0.805 0.805 0.192
Mg 0.972 0.972 0.758
Fe 0.189 0.189 0.216
Fe 0.500 0.500 0.500
Fe 0.811 0.811 0.784
N 0.102 0.102 0.989
N 0.169 0.169 0.462
N 0.290 0.290 0.178
N 0.468 0.468 0.747
N 0.532 0.532 0.253
N 0.710 0.710 0.822
N 0.831 0.831 0.538
N 0.898 0.898 0.011

Top 10 peaks for 2θ = 10–80°, low angle first:
2θ = 20.07°, intensity 31.3
2θ = 24.58°, intensity 94.3
2θ = 26.38°, intensity 70.5
2θ = 33.52°, intensity 31.4
2θ = 36.73°, intensity 55.1
2θ = 39.99°, intensity 64.8
2θ = 41.44°, intensity 100.0
2θ = 43.50°, intensity 29.3
2θ = 47.20°, intensity 36.8
2θ = 64.58°, intensity 26.3


Simulated PXRD pattern of MgFe5N4 for Cu Kα (λ = 1.5418 Å), from DFT lattice parameters and positions (PBE).
Lines closer than 0.1° are merged.

Atomic structure:
Cell lengths 6.044, 7.265, 4.539 Å; angles 90.00, 90.00, 90.00 degrees
Sites, in units of the cell vectors:
Mg 0.250 0.250 0.224
Mg 0.750 0.750 0.776
Fe 0.034 0.074 0.754
Fe 0.034 0.426 0.754
Fe 0.250 0.750 0.812
Fe 0.466 0.074 0.754
Fe 0.466 0.426 0.754
Fe 0.534 0.574 0.246
Fe 0.534 0.926 0.246
Fe 0.750 0.250 0.188
Fe 0.966 0.574 0.246
Fe 0.966 0.926 0.246
N 0.034 0.750 0.521
N 0.250 0.526 0.044
N 0.250 0.974 0.044
N 0.466 0.750 0.521
N 0.534 0.250 0.479
N 0.750 0.026 0.956
N 0.750 0.474 0.956
N 0.966 0.250 0.479

Top 10 peaks for 2θ = 10–80°, low angle first:
2θ = 24.52°, intensity 29.0
2θ = 29.56°, intensity 22.4
2θ = 37.85°, intensity 81.6
2θ = 38.76°, intensity 34.3
2θ = 39.72°, intensity 38.6
2θ = 42.30°, intensity 100.0
2θ = 52.45°, intensity 17.2
2θ = 56.70°, intensity 41.4
2θ = 73.84°, intensity 17.2
2θ = 75.58°, intensity 21.5


Q: Which formula does entry 2 have?
A: MgFe5N4


Q: Which formula does entry 2 have?
A: MgFe5N4